The following is a computed XRD peak list of Sm3DyTh2S6. It was derived from the GGA-PBE geometry in Alexandria, using CuKα.
Neutral-atom scattering factors, no anomalous dispersion.

The 12 most intense peaks (2θ = 10–90°), sorted by position:
d [Å], I/Imax, index
3.274, 44, 2 0 0
3.264, 44, 1 3 -1
2.831, 100, 1 3 1
2.003, 61, 2 0 2
1.997, 12, 0 6 0
1.708, 26, 3 3 1
1.705, 15, 2 6 0
1.637, 13, 0 0 4
1.632, 13, 2 6 -2
1.299, 9, 5 3 -1
1.267, 16, 0 6 4
1.154, 8, 3 9 -1

Crystal structure
Unit cell a=6.938 b=11.979 c=6.948 alpha=90.00 beta=109.43 gamma=90.00
Space group C2/m (No. 12)
One atom of each set of equivalent atoms:
Sm 0.000 0.000 0.000 (multiplicity 2)
Sm 0.000 0.332 0.000 (multiplicity 4)
Dy 0.000 0.500 0.500 (multiplicity 2)
Th 0.000 0.167 0.500 (multiplicity 4)
S 0.243 0.500 0.250 (multiplicity 4)
S 0.246 0.337 0.749 (multiplicity 8)


The following is a computed XRD peak list of Hf3Nb3Tc2. It was derived from the GGA-PBE geometry in Alexandria, using CuKα.
Neutral-atom scattering factors, no anomalous dispersion.

The 12 most intense peaks (2θ = 10–90°), sorted by position:
d [Å], I/Imax, index
6.370, 22, 1 0 0
3.185, 19, 2 0 0
2.899, 18, 1 0 1
2.438, 100, 1 1 1
2.408, 95, 2 1 0
2.277, 99, 2 0 1
1.767, 25, 3 1 0
1.628, 17, 0 0 2
1.553, 46, 3 1 1
1.349, 30, 2 1 2
1.278, 25, 4 1 1
1.197, 14, 3 1 2

Crystal structure
Unit cell a=7.3558 b=7.3558 c=3.2562 alpha=90.00 beta=90.00 gamma=120.00
Space group P-62m (No. 189)
One atom of each set of equivalent atoms:
Hf 0.0000 0.4358 0.0000 (multiplicity 3)
Nb 0.0000 0.7839 0.5000 (multiplicity 3)
Tc 0.3333 0.6667 0.5000 (multiplicity 2)